Theoretical powder diffractogram of Ce2Sb3Pd4 for Cu Ka, from the PBE geometry in Alexandria.

Top 8 peaks for 2θ = 5–70°, sorted by position:
- 32.29 deg, d = 2.773 Å, I 42
- 33.47 deg, d = 2.677 Å, I 75
- 35.91 deg, d = 2.501 Å, I 23
- 36.61 deg, d = 2.455 Å, I 100
- 37.11 deg, d = 2.423 Å, I 30
- 41.36 deg, d = 2.183 Å, I 34
- 52.92 deg, d = 1.730 Å, I 24
- 67.05 deg, d = 1.396 Å, I 26

```
data_Ce2Sb3Pd4
_cell_length_a 6.415
_cell_length_b 15.972
_cell_length_c 7.628
_cell_angle_alpha 90.00
_cell_angle_beta 90.00
_cell_angle_gamma 90.00
_symmetry_space_group_name_H-M 'C m c e'
_symmetry_Int_Tables_number 64
_symmetry_space_group_name_Hall '-C 2ac 2'
loop_
_atom_site_label
_atom_site_fract_x
_atom_site_fract_y
_atom_site_fract_z
Ce1 0.000 0.105 0.089
Sb1 0.000 0.000 0.500
Sb2 0.250 0.238 0.750
Pd1 0.000 0.173 0.486
Pd2 0.250 0.064 0.750
```